Sm6Co2Rh: theoretical powder XRD pattern (CuKα), based on DFT lattice parameters and positions (GGA-PBE).
Peak positions follow from Bragg's law for the DFT cell and can differ from measured ones.

Structure:
```
data_Sm6Co2Rh
_cell_length_a 8.3400
_cell_length_b 8.3400
_cell_length_c 8.3400
_cell_angle_alpha 110.40
_cell_angle_beta 109.37
_cell_angle_gamma 108.65
_symmetry_space_group_name_H-M 'P 1'
_symmetry_Int_Tables_number 1
loop_
_symmetry_equiv_pos_as_xyz
'x,y,z'
loop_
_atom_site_label
_atom_site_type_symbol
_atom_site_fract_x
_atom_site_fract_y
_atom_site_fract_z
_atom_site_occupancy
Sm1 Sm 0.0088 0.8261 0.1828 1
Sm2 Sm 0.2525 0.5689 0.3164 1
Sm3 Sm 0.2525 0.9361 0.6836 1
Sm4 Sm 0.2682 0.3227 0.5909 1
Sm5 Sm 0.2682 0.6773 0.9454 1
Sm6 Sm 0.3567 0.1739 0.1828 1
Sm7 Sm 0.6433 0.8261 0.8172 1
Sm8 Sm 0.7318 0.3227 0.0546 1
Sm9 Sm 0.7318 0.6773 0.4091 1
Sm10 Sm 0.7475 0.0639 0.3164 1
Sm11 Sm 0.7475 0.4311 0.6836 1
Sm12 Sm 0.9912 0.1739 0.8172 1
Co1 Co 0.0000 0.1701 0.1701 1
Co2 Co 0.0000 0.8299 0.8299 1
Co3 Co 0.3867 0.3867 0.0000 1
Co4 Co 0.6133 0.6133 0.0000 1
Rh1 Rh 0.0000 0.5000 0.5000 1
Rh2 Rh 0.5000 0.0000 0.5000 1
```

Top 12 peaks for 10° ≤ 2θ ≤ 90°, most intense first:
2θ (°)  intensity
35.05  100
32.20  77
29.33  32
34.64  28
29.62  25
37.30  23
59.20  23
29.09  21
26.02  18
39.48  16
36.96  15
34.92  14


Ta2Co4Rh: theoretical powder XRD pattern (CuKα), based on DFT lattice parameters and positions (GGA-PBE).
Peak positions follow from Bragg's law for the DFT cell and can differ from measured ones.

Structure:
```
data_Ta2Co4Rh
_cell_length_a 8.8805
_cell_length_b 8.8805
_cell_length_c 8.8805
_cell_angle_alpha 158.45
_cell_angle_beta 158.45
_cell_angle_gamma 30.66
_symmetry_space_group_name_H-M 'P 1'
_symmetry_Int_Tables_number 1
loop_
_symmetry_equiv_pos_as_xyz
'x,y,z'
loop_
_atom_site_label
_atom_site_type_symbol
_atom_site_fract_x
_atom_site_fract_y
_atom_site_fract_z
_atom_site_occupancy
Ta1 Ta 0.0969 0.0969 0.0000 1
Ta2 Ta 0.9031 0.9031 0.0000 1
Co1 Co 0.2500 0.7500 0.5000 1
Co2 Co 0.3508 0.3508 0.0000 1
Co3 Co 0.6492 0.6492 0.0000 1
Co4 Co 0.7500 0.2500 0.5000 1
Rh1 Rh 0.5000 0.5000 0.0000 1
```

Top 12 peaks for 10° ≤ 2θ ≤ 90°, most intense first:
2θ (°)  intensity
37.73  100
38.34  49
43.98  47
39.81  41
55.34  39
46.08  39
68.92  34
67.71  18
74.79  18
27.36  14
82.10  12
20.74  11


Ta4CoRh5: theoretical powder XRD pattern (CuKα), based on DFT lattice parameters and positions (GGA-PBE).
Peak positions follow from Bragg's law for the DFT cell and can differ from measured ones.

Structure:
```
data_Ta4CoRh5
_cell_length_a 4.7626
_cell_length_b 5.5191
_cell_length_c 6.3300
_cell_angle_alpha 76.34
_cell_angle_beta 74.53
_cell_angle_gamma 75.83
_symmetry_space_group_name_H-M 'P 1'
_symmetry_Int_Tables_number 1
loop_
_symmetry_equiv_pos_as_xyz
'x,y,z'
loop_
_atom_site_label
_atom_site_type_symbol
_atom_site_fract_x
_atom_site_fract_y
_atom_site_fract_z
_atom_site_occupancy
Ta1 Ta 0.1334 0.3819 0.3098 1
Ta2 Ta 0.3132 0.1961 0.8711 1
Ta3 Ta 0.6868 0.8039 0.1289 1
Ta4 Ta 0.8666 0.6181 0.6902 1
Co1 Co 0.5000 0.5000 0.5000 1
Rh1 Rh 0.1076 0.8964 0.2939 1
Rh2 Rh 0.2828 0.6891 0.9001 1
Rh3 Rh 0.5000 0.0000 0.5000 1
Rh4 Rh 0.7172 0.3109 0.0999 1
Rh5 Rh 0.8924 0.1036 0.7061 1
```

Top 12 peaks for 10° ≤ 2θ ≤ 90°, most intense first:
2θ (°)  intensity
39.56  100
39.86  50
39.63  50
45.12  34
45.37  32
47.81  30
23.38  13
65.82  12
31.57  11
79.41  11
68.06  11
79.73  10


Tb8Co2Rh: theoretical powder XRD pattern (CuKα), based on DFT lattice parameters and positions (GGA-PBE).
Peak positions follow from Bragg's law for the DFT cell and can differ from measured ones.

Structure:
```
data_Tb8Co2Rh
_cell_length_a 7.3880
_cell_length_b 7.3880
_cell_length_c 6.0205
_cell_angle_alpha 99.94
_cell_angle_beta 99.94
_cell_angle_gamma 113.64
_symmetry_space_group_name_H-M 'P 1'
_symmetry_Int_Tables_number 1
loop_
_symmetry_equiv_pos_as_xyz
'x,y,z'
loop_
_atom_site_label
_atom_site_type_symbol
_atom_site_fract_x
_atom_site_fract_y
_atom_site_fract_z
_atom_site_occupancy
Tb1 Tb 0.0000 0.0000 0.0000 1
Tb2 Tb 0.0175 0.2819 0.5909 1
Tb3 Tb 0.1461 0.5754 0.1857 1
Tb4 Tb 0.2819 0.0175 0.5909 1
Tb5 Tb 0.4376 0.7008 0.7880 1
Tb6 Tb 0.5754 0.1461 0.1857 1
Tb7 Tb 0.7008 0.4376 0.7880 1
Tb8 Tb 0.7231 0.7231 0.3703 1
Co1 Co 0.0503 0.6674 0.6857 1
Co2 Co 0.6674 0.0503 0.6857 1
Rh1 Rh 0.3629 0.3629 0.0405 1
```

Top 12 peaks for 10° ≤ 2θ ≤ 90°, most intense first:
2θ (°)  intensity
32.94  100
31.94  92
30.62  85
34.37  83
31.09  79
37.35  59
39.99  57
34.59  47
27.63  43
54.51  42
35.82  40
66.75  30


Tb7Co2Rh2: theoretical powder XRD pattern (CuKα), based on DFT lattice parameters and positions (GGA-PBE).
Peak positions follow from Bragg's law for the DFT cell and can differ from measured ones.

Structure:
```
data_Tb7Co2Rh2
_cell_length_a 6.5099
_cell_length_b 6.5099
_cell_length_c 6.6721
_cell_angle_alpha 90.00
_cell_angle_beta 90.00
_cell_angle_gamma 108.30
_symmetry_space_group_name_H-M 'P 1'
_symmetry_Int_Tables_number 1
loop_
_symmetry_equiv_pos_as_xyz
'x,y,z'
loop_
_atom_site_label
_atom_site_type_symbol
_atom_site_fract_x
_atom_site_fract_y
_atom_site_fract_z
_atom_site_occupancy
Tb1 Tb 0.0000 0.0000 0.0000 1
Tb2 Tb 0.0000 0.5000 0.2625 1
Tb3 Tb 0.0000 0.5000 0.7375 1
Tb4 Tb 0.5000 0.0000 0.2625 1
Tb5 Tb 0.5000 0.0000 0.7375 1
Tb6 Tb 0.5000 0.5000 0.2532 1
Tb7 Tb 0.5000 0.5000 0.7468 1
Co1 Co 0.2875 0.7125 0.0000 1
Co2 Co 0.7125 0.2875 0.0000 1
Rh1 Rh 0.1867 0.1867 0.5000 1
Rh2 Rh 0.8133 0.8133 0.5000 1
```

Top 12 peaks for 10° ≤ 2θ ≤ 90°, most intense first:
2θ (°)  intensity
39.76  100
28.89  77
33.98  69
30.45  53
39.04  39
26.93  30
31.73  27
47.71  21
64.71  20
59.86  19
66.30  19
55.06  18


Tb4Co2Rh: theoretical powder XRD pattern (CuKα), based on DFT lattice parameters and positions (GGA-PBE).
Peak positions follow from Bragg's law for the DFT cell and can differ from measured ones.

Structure:
```
data_Tb4Co2Rh
_cell_length_a 7.3497
_cell_length_b 7.3497
_cell_length_c 8.5415
_cell_angle_alpha 125.45
_cell_angle_beta 125.45
_cell_angle_gamma 69.59
_symmetry_space_group_name_H-M 'P 1'
_symmetry_Int_Tables_number 1
loop_
_symmetry_equiv_pos_as_xyz
'x,y,z'
loop_
_atom_site_label
_atom_site_type_symbol
_atom_site_fract_x
_atom_site_fract_y
_atom_site_fract_z
_atom_site_occupancy
Tb1 Tb 0.0492 0.0492 0.2451 1
Tb2 Tb 0.3621 0.5391 0.6466 1
Tb3 Tb 0.4593 0.1667 0.8730 1
Tb4 Tb 0.4609 0.6379 0.3534 1
Tb5 Tb 0.5784 0.0469 0.2562 1
Tb6 Tb 0.8333 0.5407 0.1270 1
Tb7 Tb 0.9508 0.9508 0.7549 1
Tb8 Tb 0.9531 0.4216 0.7438 1
Co1 Co 0.2061 0.2942 0.1798 1
Co2 Co 0.5206 0.1094 0.5668 1
Co3 Co 0.7058 0.7939 0.8202 1
Co4 Co 0.8906 0.4794 0.4332 1
Rh1 Rh 0.1210 0.8790 0.5000 1
Rh2 Rh 0.2912 0.7088 0.0000 1
```

Top 12 peaks for 10° ≤ 2θ ≤ 90°, most intense first:
2θ (°)  intensity
33.18  100
33.73  67
29.86  55
39.52  43
39.68  41
33.23  25
55.47  24
54.78  22
55.17  22
39.96  21
29.57  18
50.49  17


CoTc2Rh: theoretical powder XRD pattern (CuKα), based on DFT lattice parameters and positions (GGA-PBE).
Peak positions follow from Bragg's law for the DFT cell and can differ from measured ones.

Structure:
```
data_CoTc2Rh
_cell_length_a 2.6766
_cell_length_b 2.6766
_cell_length_c 7.5431
_cell_angle_alpha 90.00
_cell_angle_beta 90.00
_cell_angle_gamma 90.00
_symmetry_space_group_name_H-M 'P 1'
_symmetry_Int_Tables_number 1
loop_
_symmetry_equiv_pos_as_xyz
'x,y,z'
loop_
_atom_site_label
_atom_site_type_symbol
_atom_site_fract_x
_atom_site_fract_y
_atom_site_fract_z
_atom_site_occupancy
Co1 Co 0.0000 0.0000 0.0000 1
Tc1 Tc 0.0000 0.0000 0.5005 1
Tc2 Tc 0.5000 0.5000 0.7814 1
Rh1 Rh 0.5000 0.5000 0.2537 1
```

Top 12 peaks for 10° ≤ 2θ ≤ 90°, most intense first:
2θ (°)  intensity
41.36  100
48.07  33
85.02  23
70.49  18
48.26  15
70.34  10
89.88  10
85.29  9
35.59  4
23.59  3
35.71  2
71.83  2


CoTcRh5: theoretical powder XRD pattern (CuKα), based on DFT lattice parameters and positions (GGA-PBE).
Peak positions follow from Bragg's law for the DFT cell and can differ from measured ones.

Structure:
```
data_CoTcRh5
_cell_length_a 5.2369
_cell_length_b 5.2369
_cell_length_c 9.1157
_cell_angle_alpha 97.43
_cell_angle_beta 97.43
_cell_angle_gamma 56.46
_symmetry_space_group_name_H-M 'P 1'
_symmetry_Int_Tables_number 1
loop_
_symmetry_equiv_pos_as_xyz
'x,y,z'
loop_
_atom_site_label
_atom_site_type_symbol
_atom_site_fract_x
_atom_site_fract_y
_atom_site_fract_z
_atom_site_occupancy
Co1 Co 0.0000 0.0000 0.0000 1
Co2 Co 0.0000 0.0000 0.5000 1
Tc1 Tc 0.2918 0.7082 0.7500 1
Tc2 Tc 0.7082 0.2918 0.2500 1
Rh1 Rh 0.1834 0.2810 0.1852 1
Rh2 Rh 0.2146 0.7854 0.2500 1
Rh3 Rh 0.2810 0.1834 0.6852 1
Rh4 Rh 0.3169 0.4028 0.4614 1
Rh5 Rh 0.4028 0.3169 0.9614 1
Rh6 Rh 0.5972 0.6831 0.0386 1
Rh7 Rh 0.6831 0.5972 0.5386 1
Rh8 Rh 0.7190 0.8166 0.3147 1
Rh9 Rh 0.7854 0.2146 0.7500 1
Rh10 Rh 0.8166 0.7190 0.8148 1
```

Top 12 peaks for 10° ≤ 2θ ≤ 90°, most intense first:
2θ (°)  intensity
41.63  100
42.33  83
42.01  74
44.95  66
41.48  45
43.92  44
40.00  34
46.65  30
34.60  21
29.50  21
50.20  18
47.21  18


Co5Te12Rh: theoretical powder XRD pattern (CuKα), based on DFT lattice parameters and positions (GGA-PBE).
Peak positions follow from Bragg's law for the DFT cell and can differ from measured ones.

Structure:
```
data_Co5Te12Rh
_cell_length_a 6.5376
_cell_length_b 6.5376
_cell_length_c 11.8565
_cell_angle_alpha 95.35
_cell_angle_beta 95.35
_cell_angle_gamma 120.00
_symmetry_space_group_name_H-M 'P 1'
_symmetry_Int_Tables_number 1
loop_
_symmetry_equiv_pos_as_xyz
'x,y,z'
loop_
_atom_site_label
_atom_site_type_symbol
_atom_site_fract_x
_atom_site_fract_y
_atom_site_fract_z
_atom_site_occupancy
Co1 Co 0.0000 0.0000 0.0000 1
Co2 Co 0.1667 0.8333 0.5000 1
Co3 Co 0.3316 0.6684 0.0000 1
Co4 Co 0.6684 0.3316 0.0000 1
Co5 Co 0.8333 0.1667 0.5000 1
Te1 Te 0.0395 0.3723 0.1153 1
Te2 Te 0.1130 0.1130 0.3810 1
Te3 Te 0.1937 0.5403 0.6190 1
Te4 Te 0.2952 0.2952 0.8861 1
Te5 Te 0.3723 0.0395 0.1153 1
Te6 Te 0.4597 0.8063 0.3810 1
Te7 Te 0.5403 0.1937 0.6190 1
Te8 Te 0.6277 0.9605 0.8847 1
Te9 Te 0.7048 0.7048 0.1139 1
Te10 Te 0.8063 0.4597 0.3810 1
Te11 Te 0.8870 0.8870 0.6190 1
Te12 Te 0.9605 0.6277 0.8847 1
Rh1 Rh 0.5000 0.5000 0.5000 1
```

Top 12 peaks for 10° ≤ 2θ ≤ 90°, most intense first:
2θ (°)  intensity
32.75  100
30.17  92
48.22  82
37.68  50
15.21  50
30.21  46
45.73  30
30.70  29
52.59  21
57.95  21
50.24  20
34.24  19


CoTe6Rh3: theoretical powder XRD pattern (CuKα), based on DFT lattice parameters and positions (GGA-PBE).
Peak positions follow from Bragg's law for the DFT cell and can differ from measured ones.

Structure:
```
data_CoTe6Rh3
_cell_length_a 6.7168
_cell_length_b 6.8867
_cell_length_c 11.9068
_cell_angle_alpha 90.00
_cell_angle_beta 124.27
_cell_angle_gamma 90.00
_symmetry_space_group_name_H-M 'P 1'
_symmetry_Int_Tables_number 1
loop_
_symmetry_equiv_pos_as_xyz
'x,y,z'
loop_
_atom_site_label
_atom_site_type_symbol
_atom_site_fract_x
_atom_site_fract_y
_atom_site_fract_z
_atom_site_occupancy
Co1 Co 0.0000 0.0000 0.0000 1
Co2 Co 0.0000 0.5000 0.5000 1
Te1 Te 0.0991 0.0740 0.2384 1
Te2 Te 0.0991 0.4260 0.7384 1
Te3 Te 0.2976 0.6958 0.1102 1
Te4 Te 0.2976 0.8042 0.6102 1
Te5 Te 0.3649 0.1676 0.0367 1
Te6 Te 0.3649 0.3324 0.5367 1
Te7 Te 0.6351 0.6676 0.4633 1
Te8 Te 0.6351 0.8324 0.9633 1
Te9 Te 0.7024 0.1958 0.3898 1
Te10 Te 0.7024 0.3042 0.8898 1
Te11 Te 0.9009 0.5740 0.2616 1
Te12 Te 0.9009 0.9260 0.7616 1
Rh1 Rh 0.2970 0.0706 0.8001 1
Rh2 Rh 0.2970 0.4294 0.3001 1
Rh3 Rh 0.5000 0.0000 0.5000 1
Rh4 Rh 0.5000 0.5000 0.0000 1
Rh5 Rh 0.7030 0.5706 0.6999 1
Rh6 Rh 0.7030 0.9294 0.1999 1
```

Top 12 peaks for 10° ≤ 2θ ≤ 90°, most intense first:
2θ (°)  intensity
30.32  100
46.47  88
33.07  81
29.59  80
34.48  68
30.56  50
30.99  50
37.40  47
42.62  43
38.54  35
15.98  33
45.67  31


Co3Te8Rh: theoretical powder XRD pattern (CuKα), based on DFT lattice parameters and positions (GGA-PBE).
Peak positions follow from Bragg's law for the DFT cell and can differ from measured ones.

Structure:
```
data_Co3Te8Rh
_cell_length_a 6.7448
_cell_length_b 6.7448
_cell_length_c 8.6378
_cell_angle_alpha 121.78
_cell_angle_beta 121.78
_cell_angle_gamma 69.14
_symmetry_space_group_name_H-M 'P 1'
_symmetry_Int_Tables_number 1
loop_
_symmetry_equiv_pos_as_xyz
'x,y,z'
loop_
_atom_site_label
_atom_site_type_symbol
_atom_site_fract_x
_atom_site_fract_y
_atom_site_fract_z
_atom_site_occupancy
Co1 Co 0.0000 0.0000 0.0000 1
Co2 Co 0.0000 0.5000 0.5000 1
Co3 Co 0.5000 0.0000 0.5000 1
Te1 Te 0.0342 0.5510 0.8282 1
Te2 Te 0.0496 0.0496 0.3341 1
Te3 Te 0.4478 0.4478 0.6548 1
Te4 Te 0.4490 0.9658 0.1718 1
Te5 Te 0.5510 0.0342 0.8282 1
Te6 Te 0.5522 0.5522 0.3452 1
Te7 Te 0.9504 0.9504 0.6659 1
Te8 Te 0.9658 0.4490 0.1718 1
Rh1 Rh 0.5000 0.5000 0.0000 1
```

Top 12 peaks for 10° ≤ 2θ ≤ 90°, most intense first:
2θ (°)  intensity
31.38  100
31.45  68
47.46  36
42.40  31
42.52  26
15.96  23
58.08  21
57.03  20
47.52  18
32.24  16
78.20  15
56.85  12


Ti12Co6Rh: theoretical powder XRD pattern (CuKα), based on DFT lattice parameters and positions (GGA-PBE).
Peak positions follow from Bragg's law for the DFT cell and can differ from measured ones.

Structure:
```
data_Ti12Co6Rh
_cell_length_a 7.0176
_cell_length_b 7.0176
_cell_length_c 7.0176
_cell_angle_alpha 101.16
_cell_angle_beta 101.16
_cell_angle_gamma 101.16
_symmetry_space_group_name_H-M 'P 1'
_symmetry_Int_Tables_number 1
loop_
_symmetry_equiv_pos_as_xyz
'x,y,z'
loop_
_atom_site_label
_atom_site_type_symbol
_atom_site_fract_x
_atom_site_fract_y
_atom_site_fract_z
_atom_site_occupancy
Ti1 Ti 0.0701 0.9286 0.6668 1
Ti2 Ti 0.0714 0.3332 0.9299 1
Ti3 Ti 0.1752 0.5729 0.4243 1
Ti4 Ti 0.3332 0.9299 0.0714 1
Ti5 Ti 0.4243 0.1752 0.5729 1
Ti6 Ti 0.4271 0.5757 0.8248 1
Ti7 Ti 0.5729 0.4243 0.1752 1
Ti8 Ti 0.5757 0.8248 0.4271 1
Ti9 Ti 0.6668 0.0701 0.9286 1
Ti10 Ti 0.8248 0.4271 0.5757 1
Ti11 Ti 0.9286 0.6668 0.0701 1
Ti12 Ti 0.9299 0.0714 0.3332 1
Co1 Co 0.1386 0.3046 0.6146 1
Co2 Co 0.3046 0.6146 0.1386 1
Co3 Co 0.3854 0.8614 0.6954 1
Co4 Co 0.6146 0.1386 0.3046 1
Co5 Co 0.6954 0.3854 0.8614 1
Co6 Co 0.8614 0.6954 0.3854 1
Rh1 Rh 0.0000 0.0000 0.0000 1
```

Top 12 peaks for 10° ≤ 2θ ≤ 90°, most intense first:
2θ (°)  intensity
44.20  100
26.81  99
45.93  75
39.45  27
28.14  27
53.22  20
65.64  19
82.57  15
52.45  15
20.93  14
31.45  12
39.06  11


What is the formula in the sixth record?
Tb4Co2Rh